Structure and calculated powder XRD pattern of V11Sb9O40 (a DFT-relaxed cell (PBE+U, the Materials Project); Cu Kα (λ = 1.5418 Å)).
Neutral-atom scattering factors, no anomalous dispersion.

Top 12 peaks for 15° ≤ 2θ ≤ 90°, low angle first:
index  2θ (°)  I/Imax
0 0 9  17.1  13
1 0 -10  26.9  71
1 0 10  27.1  69
0 1 10  34.4  100
2 0 0  38.5  15
0 0 20  38.6  15
1 1 -20  52.5  45
2 1 10  52.6  22
1 1 20  52.7  22
0 2 0  58.7  12
3 1 0  67.0  14
0 1 30  67.2  14

Crystal structure
```
data_V11Sb9O40
_symmetry_space_group_name_H-M 'P 1 2/m 1'
_symmetry_Int_Tables_number 10
_cell_length_a 4.677
_cell_length_b 3.148
_cell_length_c 46.632
_cell_angle_alpha 90.00
_cell_angle_beta 90.29
_cell_angle_gamma 90.00
loop_
_symmetry_equiv_pos_as_xyz
'x,y,z'
'-x,-y,-z'
'-x,y,-z'
'x,-y,z'
loop_
_atom_site_label
_atom_site_fract_x
_atom_site_fract_y
_atom_site_fract_z
_atom_site_occupancy
V1 0.000 0.000 0.000 1
V2 0.002 0.000 0.100 1
V3 0.022 0.000 0.203 1
V4 0.481 0.500 0.751 1
V5 0.499 0.500 0.650 1
V6 0.500 0.500 0.450 1
Sb1 0.000 0.000 0.500 1
Sb2 0.001 0.000 0.400 1
Sb3 0.004 0.000 0.300 1
Sb4 0.494 0.500 0.849 1
Sb5 0.499 0.500 0.950 1
O1 0.184 0.500 0.782 1
O2 0.189 0.500 0.180 1
O3 0.189 0.500 0.580 1
O4 0.191 0.500 0.481 1
O5 0.192 0.500 0.680 1
O6 0.193 0.500 0.280 1
O7 0.195 0.500 0.080 1
O8 0.195 0.500 0.380 1
O9 0.196 0.500 0.879 1
O10 0.196 0.500 0.980 1
O11 0.301 0.000 0.230 1
O12 0.303 0.000 0.330 1
O13 0.303 0.000 0.630 1
O14 0.304 0.000 0.430 1
O15 0.304 0.000 0.730 1
O16 0.305 0.000 0.530 1
O17 0.305 0.000 0.829 1
O18 0.307 0.000 0.930 1
O19 0.310 0.000 0.131 1
O20 0.311 0.000 0.031 1
```